(1)
Starting from a DFT-relaxed cell (GGA+U, Alexandria), the XRD peak list of Li2MgCo13O28 was computed for Cu Kα (weighted mean of Kα1 and Kα2).
Lines closer than 0.1° are merged.

Unit cell a=7.5378 b=8.2470 c=8.7197 alpha=99.94 beta=104.35 gamma=105.30
Space group P1 (No. 1)
Symmetry-distinct sites (fractional):
Li  0.0000  0.0000  0.0000 [1 per cell]
Li  0.1560  0.4358  0.5750 [1 per cell]
Mg  0.1562  0.9431  0.5839 [1 per cell]
Co  0.0076  0.5028  0.0022 [1 per cell]
Co  0.0787  0.7167  0.7888 [1 per cell]
Co  0.2275  0.1509  0.3624 [1 per cell]
Co  0.2996  0.3712  0.1521 [1 per cell]
Co  0.3678  0.5816  0.9360 [1 per cell]
Co  0.4403  0.7946  0.7208 [1 per cell]
Co  0.5123  0.0085  0.5051 [1 per cell]
Co  0.5847  0.2259  0.2931 [1 per cell]
Co  0.6533  0.4349  0.0759 [1 per cell]
Co  0.7176  0.6378  0.8529 [1 per cell]
Co  0.7899  0.8562  0.6409 [1 per cell]
Co  0.8649  0.0731  0.4288 [1 per cell]
Co  0.9390  0.2913  0.2173 [1 per cell]
O  0.0301  0.2852  0.0329 [1 per cell]
O  0.0506  0.9308  0.7760 [1 per cell]
O  0.1004  0.4999  0.8177 [1 per cell]
O  0.1305  0.1741  0.5388 [1 per cell]
O  0.1747  0.7015  0.6130 [1 per cell]
O  0.2053  0.3720  0.3354 [1 per cell]
O  0.2534  0.9441  0.3841 [1 per cell]
O  0.2748  0.5838  0.1182 [1 per cell]
O  0.3143  0.1520  0.1767 [1 per cell]
O  0.3490  0.7960  0.9076 [1 per cell]
O  0.3850  0.3624  0.9669 [1 per cell]
O  0.4438  0.0098  0.6968 [1 per cell]
O  0.4456  0.5680  0.7456 [1 per cell]
O  0.4979  0.2309  0.4764 [1 per cell]
O  0.5246  0.7875  0.5315 [1 per cell]
O  0.5665  0.4436  0.2617 [1 per cell]
O  0.5991  0.0091  0.3191 [1 per cell]
O  0.6362  0.6503  0.0427 [1 per cell]
O  0.6718  0.2186  0.1070 [1 per cell]
O  0.7096  0.8598  0.8327 [1 per cell]
O  0.7398  0.4245  0.8892 [1 per cell]
O  0.7808  0.0779  0.6169 [1 per cell]
O  0.8071  0.6359  0.6717 [1 per cell]
O  0.8561  0.2985  0.4034 [1 per cell]
O  0.8677  0.8601  0.4556 [1 per cell]
O  0.9221  0.5089  0.1862 [1 per cell]
O  0.9567  0.0726  0.2375 [1 per cell]
O  0.9836  0.7195  0.9713 [1 per cell]

The 10 most intense peaks (2θ = 10–80°), sorted by position:
d/Å  2θ (°)  intensity  (hkl)
5.000  17.74  100  0 1 1
2.500  35.92  4  0 2 2
2.431  36.98  18  3 -1 0
2.426  37.06  9  1 -3 2
2.335  38.55  4  1 -2 3
2.058  44.00  40  3 0 1
1.616  56.97  14  -2 1 5
1.423  65.61  7  5 0 -3
1.369  68.52  4  -5 1 4
1.368  68.62  4  4 -3 3

***

(2)
Starting from a DFT-relaxed cell (GGA+U, Alexandria), the XRD peak list of Li5Mn2CoNi2O10 was computed for Cu Kα (weighted mean of Kα1 and Kα2).
Lines closer than 0.1° are merged.

Unit cell a=5.0768 b=5.8835 c=6.6205 alpha=103.31 beta=97.83 gamma=106.42
Space group P1 (No. 1)
Symmetry-distinct sites (fractional):
Li  0.0000  0.0000  0.0000 [1 per cell]
Li  0.1905  0.4078  0.3990 [1 per cell]
Li  0.3966  0.8105  0.8135 [1 per cell]
Li  0.5922  0.2102  0.2109 [1 per cell]
Li  0.8009  0.6035  0.5960 [1 per cell]
Mn  0.5961  0.7063  0.2032 [1 per cell]
Mn  0.7967  0.1042  0.6022 [1 per cell]
Co  0.3995  0.3080  0.8061 [1 per cell]
Ni  0.1965  0.9059  0.4035 [1 per cell]
Ni  0.9966  0.5087  0.0049 [1 per cell]
O  0.0839  0.9726  0.7012 [1 per cell]
O  0.0906  0.4256  0.6981 [1 per cell]
O  0.3122  0.8459  0.1119 [1 per cell]
O  0.3181  0.3787  0.1059 [1 per cell]
O  0.5146  0.2483  0.5208 [1 per cell]
O  0.5191  0.7723  0.4926 [1 per cell]
O  0.6823  0.6560  0.9248 [1 per cell]
O  0.6905  0.1577  0.8753 [1 per cell]
O  0.8753  0.0419  0.3154 [1 per cell]
O  0.8807  0.5681  0.2940 [1 per cell]

The 10 most intense peaks (2θ = 10–80°), sorted by position:
d/Å  2θ (°)  intensity  (hkl)
4.835  18.35  100  0 1 -1
2.512  35.75  14  -1 1 2
2.499  35.94  28  1 1 1
2.398  37.50  15  2 0 -1
2.093  43.24  26  1 0 -3
2.079  43.53  26  1 2 0
2.071  43.70  25  2 -2 1
1.481  62.73  7  2 2 -3
1.476  62.99  7  1 -2 4
1.469  63.33  14  0 2 3

***

(3)
Starting from a DFT-relaxed cell (GGA+U, Alexandria), the XRD peak list of Li4MnCo2O7 was computed for Cu Kα (weighted mean of Kα1 and Kα2).
Lines closer than 0.1° are merged.

Unit cell a=15.3684 b=2.9255 c=12.7254 alpha=90.00 beta=118.47 gamma=90.00
Space group Cm (No. 8)
Symmetry-distinct sites (fractional):
Li  0.0000  0.0000  0.0000 [2 per cell]
Li  0.0014  0.5000  0.5110 [2 per cell]
Li  0.0606  0.5000  0.8531 [2 per cell]
Li  0.1352  0.0000  0.7156 [2 per cell]
Li  0.2063  0.5000  0.5761 [2 per cell]
Li  0.2934  0.0000  0.4480 [2 per cell]
Li  0.3658  0.5000  0.3134 [2 per cell]
Li  0.4174  0.0000  0.1498 [2 per cell]
Mn  0.1370  0.5000  0.2243 [2 per cell]
Mn  0.2843  0.5000  0.9348 [2 per cell]
Co  0.0650  0.0000  0.3688 [2 per cell]
Co  0.2121  0.0000  0.0812 [2 per cell]
Co  0.3552  0.0000  0.7794 [2 per cell]
Co  0.4332  0.5000  0.6394 [2 per cell]
O  0.0311  0.5000  0.6852 [2 per cell]
O  0.0442  0.0000  0.1997 [2 per cell]
O  0.1013  0.0000  0.5231 [2 per cell]
O  0.1063  0.5000  0.0618 [2 per cell]
O  0.1566  0.5000  0.3881 [2 per cell]
O  0.1902  0.0000  0.9052 [2 per cell]
O  0.2317  0.0000  0.2602 [2 per cell]
O  0.2557  0.5000  0.7703 [2 per cell]
O  0.3163  0.5000  0.1030 [2 per cell]
O  0.3200  0.0000  0.6204 [2 per cell]
O  0.3784  0.0000  0.9634 [2 per cell]
O  0.3891  0.5000  0.4790 [2 per cell]
O  0.4570  0.5000  0.8241 [2 per cell]
O  0.4746  0.0000  0.3315 [2 per cell]

The 10 most intense peaks (2θ = 10–80°), sorted by position:
d/Å  2θ (°)  intensity  (hkl)
4.849  18.29  100  2 0 1
2.498  35.95  26  3 1 -2
2.490  36.07  12  4 0 -5
2.084  43.42  55  5 1 -1
2.068  43.78  25  2 0 -6
1.905  47.73  8  1 1 4
1.611  57.18  9  7 1 0
1.485  62.57  7  10 0 -2
1.473  63.09  15  3 1 5
1.462  63.63  20  0 2 0